The following is a computed X-ray diffraction stick pattern of KSr2Cd2Sb3. It was derived from a structure optimized by DFT (PBE), using Cu Kα (λ = 1.5418 Å).
No peak broadening, texture or thermal motion is included.

Peak list (10 most intense, 2θ from 10° to 90°, by intensity)
- 2θ = 29.05°, I = 100, (1 1 4)
- 2θ = 35.25°, I = 82, (3 1 4)
- 2θ = 28.17°, I = 72, (3 1 1)
- 2θ = 36.66°, I = 68, (0 2 0)
- 2θ = 38.96°, I = 55, (3 1 5)
- 2θ = 27.76°, I = 45, (4 0 0)
- 2θ = 31.50°, I = 37, (2 1 4)
- 2θ = 20.11°, I = 28, (1 1 1)
- 2θ = 29.79°, I = 27, (4 0 2)
- 2θ = 41.10°, I = 25, (5 1 2)

a = 12.8593 Å, b = 4.9024 Å, c = 16.5852 Å
α = 90.00°, β = 90.00°, γ = 90.00°
Space group Pnma (No. 62)
Inequivalent atoms, fractional coordinates:
K 0.0936 0.2500 0.0506
Sr 0.1022 0.7500 0.4266
Sr 0.1336 0.2500 0.7834
Cd 0.1338 0.2500 0.2841
Cd 0.1977 0.2500 0.5790
Sb 0.0780 0.7500 0.6297
Sb 0.1258 0.7500 0.1950
Sb 0.2082 0.7500 0.9177



The following is a computed X-ray diffraction stick pattern of LaSm2HoTl2. It was derived from a structure optimized by DFT (PBE), using Cu Kα (λ = 1.5418 Å).
No peak broadening, texture or thermal motion is included.

Peak list (10 most intense, 2θ from 10° to 90°, by intensity)
- 2θ = 31.30°, I = 100, (1 3 0)
- 2θ = 32.26°, I = 65, (1 1 2)
- 2θ = 34.27°, I = 49, (2 0 0)
- 2θ = 31.02°, I = 45, (1 0 2)
- 2θ = 33.95°, I = 29, (1 3 1)
- 2θ = 37.04°, I = 19, (0 3 2)
- 2θ = 51.35°, I = 15, (2 3 2)
- 2θ = 29.20°, I = 15, (0 3 1)
- 2θ = 59.53°, I = 13, (3 3 0)
- 2θ = 53.80°, I = 12, (0 1 4)

a = 5.2329 Å, b = 10.2309 Å, c = 6.9104 Å
α = 90.00°, β = 90.00°, γ = 90.00°
Space group Pmc2_1 (No. 26)
Inequivalent atoms, fractional coordinates:
La 0.0000 0.0439 0.0000
Sm 0.0000 0.3192 0.3757
Sm 0.5000 0.4539 0.0947
Ho 0.5000 0.1929 0.7220
Tl 0.0000 0.3620 0.8395
Tl 0.5000 0.1341 0.2667